The following is a theoretical X-ray diffraction stick pattern of ErI3O9. It was derived from a structure optimized by DFT (PBE), using Cu Kα, 1.54184 Å.
Peak positions follow from Bragg's law for the DFT cell and can differ from measured ones.

Structural model:
Unit cell a=8.7861 b=6.2818 c=16.7425 alpha=90.00 beta=114.79 gamma=90.00
Space group P2_1/c (No. 14)
Symmetry-distinct sites (fractional):
Er 0.1517 0.2298 0.1111
I 0.0700 0.2074 0.3597
I 0.3494 0.6499 0.5162
I 0.4140 0.5854 0.8020
O 0.0693 0.0233 0.6852
O 0.0959 0.5858 0.6708
O 0.1149 0.1610 0.4743
O 0.1205 0.6699 0.4704
O 0.3364 0.5722 0.8877
O 0.3494 0.0562 0.9365
O 0.3490 0.1831 0.2568
O 0.3642 0.0159 0.6336
O 0.3663 0.0212 0.1089

Principal peaks in the range 10° ≤ 2θ ≤ 90°, in order of falling intensity:
d (Å)  Position (°2θ)  I/Imax  index
3.478  25.6  100  1 1 -4
3.367  26.5  83  2 1 0
3.944  22.5  36  0 1 3
2.979  30.0  31  1 0 4
2.799  32.0  26  3 0 -4
2.922  30.6  24  1 2 0
3.584  24.8  23  2 1 -2
2.955  30.2  21  1 2 -1
2.089  43.3  20  2 0 -8
4.372  20.3  16  1 1 1